Simulated PXRD pattern of TcSnSbBrF for Cu Kα X-rays, from the PBE geometry in Alexandria.
No peak broadening, texture or thermal motion is included.

The 10 most intense peaks (2θ from 15° to 90°), most intense first:
| two_theta | Rel. int. |
| --- | --- |
| 16.09 | 1000 |
| 32.52 | 664 |
| 25.42 | 578 |
| 35.30 | 546 |
| 33.76 | 502 |
| 38.30 | 490 |
| 40.44 | 451 |
| 33.44 | 441 |
| 35.96 | 411 |
| 41.42 | 392 |

Atomic structure:
```
data_TcSnSbBrF
_chemical_formula_sum 'Tc1 Sn1 Sb1 Br1 F1'
_space_group_name_H-M_alt 'P 1'
_space_group_IT_number 1
_space_group_name_Hall 'P 1'
_cell_length_a 3.178
_cell_length_b 5.712
_cell_length_c 8.088
_cell_angle_alpha 98.02
_cell_angle_beta 100.22
_cell_angle_gamma 101.38
loop_
_atom_site_label
_atom_site_type_symbol
_atom_site_fract_x
_atom_site_fract_y
_atom_site_fract_z
Tc1 Tc 0.000 0.000 0.000
Sn1 Sn 0.743 0.882 0.295
Sb1 Sb 0.683 0.373 0.101
Br1 Br 0.380 0.961 0.746
F1 F 0.793 0.595 0.914
```

Simulated PXRD pattern of Ca4ZnAgHg2 for Cu Kα X-rays, from the PBE geometry in Alexandria.
No peak broadening, texture or thermal motion is included.

The 10 most intense peaks (2θ from 15° to 90°), most intense first:
| two_theta | Rel. int. |
| --- | --- |
| 33.83 | 1000 |
| 23.74 | 358 |
| 60.48 | 270 |
| 20.53 | 178 |
| 48.59 | 177 |
| 54.78 | 161 |
| 39.89 | 107 |
| 60.63 | 89 |
| 41.72 | 87 |
| 81.11 | 77 |

Atomic structure:
```
data_Ca4ZnAgHg2
_chemical_formula_sum 'Ca12 Zn3 Ag3 Hg6'
_space_group_name_H-M_alt 'R -3 m'
_space_group_IT_number 166
_space_group_name_Hall '-R 3 2"'
_cell_length_a 5.3047
_cell_length_b 5.3047
_cell_length_c 25.9119
_cell_angle_alpha 90.00
_cell_angle_beta 90.00
_cell_angle_gamma 120.00
loop_
_atom_site_label
_atom_site_type_symbol
_atom_site_fract_x
_atom_site_fract_y
_atom_site_fract_z
Ca1 Ca 0.0000 0.0000 0.1245
Ca2 Ca 0.0000 0.0000 0.3747
Zn1 Zn 0.0000 0.0000 0.0000
Ag1 Ag 0.0000 0.0000 0.5000
Hg1 Hg 0.0000 0.0000 0.2512
```

Simulated PXRD pattern of Er7GeS5 for Cu Kα X-rays, from the PBE geometry in Alexandria.
No peak broadening, texture or thermal motion is included.

The 10 most intense peaks (2θ from 15° to 90°), most intense first:
| two_theta | Rel. int. |
| --- | --- |
| 30.74 | 1000 |
| 32.25 | 922 |
| 28.56 | 823 |
| 33.44 | 554 |
| 46.53 | 553 |
| 56.82 | 406 |
| 47.23 | 272 |
| 42.99 | 250 |
| 26.60 | 243 |
| 34.35 | 239 |

Atomic structure:
```
data_Er7GeS5
_chemical_formula_sum 'Er28 Ge4 S20'
_space_group_name_H-M_alt 'C m c m'
_space_group_IT_number 63
_space_group_name_Hall '-C 2c 2'
_cell_length_a 3.902
_cell_length_b 12.626
_cell_length_c 22.938
_cell_angle_alpha 90.00
_cell_angle_beta 90.00
_cell_angle_gamma 90.00
loop_
_atom_site_label
_atom_site_type_symbol
_atom_site_fract_x
_atom_site_fract_y
_atom_site_fract_z
Er1 Er 0.000 0.031 0.250
Er2 Er 0.000 0.138 0.537
Er3 Er 0.000 0.314 0.178
Er4 Er 0.000 0.407 0.614
Ge1 Ge 0.000 0.304 0.750
S1 S 0.000 0.048 0.642
S2 S 0.000 0.226 0.071
S3 S 0.000 0.500 0.000
```

Simulated PXRD pattern of Zn2Ga3Ag8 for Cu Kα X-rays, from the PBE geometry in Alexandria.
No peak broadening, texture or thermal motion is included.

The 10 most intense peaks (2θ from 15° to 90°), most intense first:
| two_theta | Rel. int. |
| --- | --- |
| 38.38 | 1000 |
| 39.64 | 901 |
| 40.82 | 806 |
| 37.94 | 652 |
| 41.84 | 530 |
| 36.37 | 492 |
| 42.31 | 360 |
| 32.48 | 359 |
| 35.85 | 320 |
| 43.09 | 267 |

Atomic structure:
```
data_Zn2Ga3Ag8
_chemical_formula_sum 'Zn2 Ga3 Ag8'
_space_group_name_H-M_alt 'P 1 2/m 1'
_space_group_IT_number 10
_space_group_name_Hall '-P 2y'
_cell_length_a 9.162
_cell_length_b 2.933
_cell_length_c 9.645
_cell_angle_alpha 90.00
_cell_angle_beta 118.24
_cell_angle_gamma 90.00
loop_
_atom_site_label
_atom_site_type_symbol
_atom_site_fract_x
_atom_site_fract_y
_atom_site_fract_z
Zn1 Zn 0.041 0.000 0.379
Ga1 Ga 0.430 0.500 0.230
Ga2 Ga 0.500 0.000 0.000
Ag1 Ag 0.140 0.000 0.151
Ag2 Ag 0.173 0.500 0.898
Ag3 Ag 0.275 0.000 0.691
Ag4 Ag 0.325 0.500 0.454
```